Record 1
Diffraction record for Tl3Cl7F. The powder diffractogram is theoretical, not measured: it uses a structure optimized by DFT (PBE) and Cu Kα, 1.54184 Å.
Lines closer than 0.1° are merged.

Crystal structure
a = 7.5991 Å, b = 7.5991 Å, c = 9.4372 Å
α = 125.13°, β = 125.13°, γ = 61.29°
Element x y z (fractional)
Tl 0.0000 0.0000 0.0000
Tl 0.4940 0.9860 0.5094
Tl 0.9860 0.4940 0.5094
Cl 0.0432 0.0432 0.3524
Cl 0.0460 0.5368 0.8218
Cl 0.4217 0.4217 0.6431
Cl 0.4710 0.9434 0.2115
Cl 0.5368 0.0460 0.8218
Cl 0.5539 0.5539 0.3701
Cl 0.9434 0.4710 0.2115
F 0.8856 0.8856 0.6461

Principal peaks in the range 2θ = 10–80°, by angle:
| 2θ (°) | I/Imax |
| --- | --- |
| 12.62 | 15 |
| 13.55 | 100 |
| 14.81 | 16 |
| 26.28 | 22 |
| 29.28 | 24 |
| 29.49 | 50 |
| 29.87 | 13 |
| 37.95 | 24 |
| 38.56 | 16 |
| 45.30 | 16 |

***

Record 2
Diffraction record for CuNi2Se4. The powder diffractogram is theoretical, not measured: it uses a structure optimized by DFT (PBE) and Cu Kα, 1.54184 Å.
Lines closer than 0.1° are merged.

Crystal structure
a = 7.1690 Å, b = 7.1690 Å, c = 12.4319 Å
α = 106.83°, β = 106.83°, γ = 59.93°
Element x y z (fractional)
Cu 0.0632 0.5624 0.6875
Cu 0.4376 0.9368 0.8125
Cu 0.5624 0.0632 0.1875
Cu 0.9368 0.4376 0.3125
Ni 0.0000 0.0000 0.0000
Ni 0.0000 0.0000 0.5000
Ni 0.0000 0.5000 0.0000
Ni 0.2497 0.7503 0.2500
Ni 0.5000 0.0000 0.5000
Ni 0.5000 0.5000 0.0000
Ni 0.5000 0.5000 0.5000
Ni 0.7503 0.2497 0.7500
Se 0.0957 0.1423 0.8811
Se 0.1308 0.6307 0.8926
Se 0.1423 0.0957 0.3811
Se 0.1424 0.6427 0.3808
Se 0.3573 0.4049 0.1190
Se 0.3573 0.8576 0.1192
Se 0.3693 0.8692 0.6074
Se 0.4049 0.3573 0.6190
Se 0.5951 0.6427 0.3810
Se 0.6307 0.1308 0.3926
Se 0.6427 0.1424 0.8808
Se 0.6427 0.5951 0.8810
Se 0.8576 0.3573 0.6192
Se 0.8577 0.9043 0.6189
Se 0.8692 0.3693 0.1074
Se 0.9043 0.8577 0.1189

Principal peaks in the range 2θ = 10–80°, by angle:
| 2θ (°) | I/Imax |
| --- | --- |
| 15.14 | 18 |
| 24.84 | 18 |
| 29.21 | 43 |
| 30.54 | 38 |
| 35.41 | 81 |
| 46.54 | 41 |
| 50.95 | 100 |
| 60.55 | 8 |
| 63.58 | 16 |
| 74.97 | 9 |

***

Record 3
Diffraction record for SrZnF4. The powder diffractogram is theoretical, not measured: it uses a structure optimized by DFT (PBE) and Cu Kα, 1.54184 Å.
Lines closer than 0.1° are merged.

Crystal structure
a = 7.7852 Å, b = 5.6589 Å, c = 8.0454 Å
α = 90.00°, β = 99.78°, γ = 90.00°
Element x y z (fractional)
Sr 0.1655 0.2277 0.4020
Sr 0.1655 0.2723 0.9020
Sr 0.8345 0.7277 0.0980
Sr 0.8345 0.7723 0.5980
Zn 0.3387 0.7264 0.1980
Zn 0.3387 0.7736 0.6980
Zn 0.6613 0.2264 0.3020
Zn 0.6613 0.2736 0.8020
F 0.1109 0.5092 0.1634
F 0.1109 0.9908 0.6634
F 0.1620 0.5062 0.6324
F 0.1620 0.9938 0.1324
F 0.3293 0.6537 0.9431
F 0.3293 0.8463 0.4431
F 0.4336 0.0993 0.7948
F 0.4336 0.4007 0.2948
F 0.5664 0.5993 0.7052
F 0.5664 0.9007 0.2052
F 0.6707 0.1537 0.5569
F 0.6707 0.3463 0.0569
F 0.8380 0.0062 0.8676
F 0.8380 0.4938 0.3676
F 0.8891 0.0092 0.3366
F 0.8891 0.4908 0.8366

Principal peaks in the range 2θ = 10–80°, by angle:
| 2θ (°) | I/Imax |
| --- | --- |
| 23.19 | 24 |
| 27.47 | 78 |
| 28.10 | 100 |
| 28.32 | 29 |
| 31.62 | 23 |
| 43.81 | 23 |
| 45.28 | 29 |
| 48.04 | 24 |
| 50.22 | 23 |
| 52.15 | 20 |

***

Record 4
Diffraction record for LaSc2Cu9. The powder diffractogram is theoretical, not measured: it uses a structure optimized by DFT (PBE) and Cu Kα, 1.54184 Å.
Lines closer than 0.1° are merged.

Crystal structure
a = 5.1843 Å, b = 5.1843 Å, c = 16.0912 Å
α = 90.00°, β = 90.00°, γ = 120.00°
Element x y z (fractional)
La 0.3333 0.6667 0.2500
La 0.6667 0.3333 0.7500
Sc 0.3333 0.6667 0.0295
Sc 0.3333 0.6667 0.4705
Sc 0.6667 0.3333 0.5295
Sc 0.6667 0.3333 0.9705
Cu 0.0000 0.0000 0.0000
Cu 0.0000 0.0000 0.2500
Cu 0.0000 0.0000 0.5000
Cu 0.0000 0.0000 0.7500
Cu 0.1683 0.3366 0.6216
Cu 0.1683 0.3366 0.8784
Cu 0.1683 0.8317 0.6216
Cu 0.1683 0.8317 0.8784
Cu 0.3333 0.6667 0.7500
Cu 0.3366 0.1683 0.1216
Cu 0.3366 0.1683 0.3784
Cu 0.6634 0.8317 0.6216
Cu 0.6634 0.8317 0.8784
Cu 0.6667 0.3333 0.2500
Cu 0.8317 0.1683 0.1216
Cu 0.8317 0.1683 0.3784
Cu 0.8317 0.6634 0.1216
Cu 0.8317 0.6634 0.3784

Principal peaks in the range 2θ = 10–80°, by angle:
| 2θ (°) | I/Imax |
| --- | --- |
| 11.00 | 13 |
| 25.88 | 14 |
| 34.28 | 22 |
| 34.60 | 24 |
| 40.58 | 37 |
| 41.44 | 100 |
| 43.71 | 18 |
| 45.07 | 25 |
| 66.68 | 22 |
| 73.00 | 21 |

***

Record 5
Diffraction record for La3AgI3. The powder diffractogram is theoretical, not measured: it uses a structure optimized by DFT (PBE) and Cu Kα, 1.54184 Å.
Lines closer than 0.1° are merged.

Crystal structure
a = 11.0962 Å, b = 11.0962 Å, c = 11.0962 Å
α = 109.47°, β = 109.47°, γ = 109.47°
Element x y z (fractional)
La 0.0105 0.0209 0.2605
La 0.0105 0.4895 0.7500
La 0.0209 0.2605 0.0105
La 0.2395 0.2605 0.7500
La 0.2395 0.4791 0.4895
La 0.2605 0.0105 0.0209
La 0.2605 0.7500 0.2395
La 0.4791 0.4895 0.2395
La 0.4895 0.2395 0.4791
La 0.4895 0.7500 0.0105
La 0.7500 0.0105 0.4895
La 0.7500 0.2395 0.2605
Ag 0.0000 0.2500 0.5000
Ag 0.2500 0.2500 0.2500
Ag 0.2500 0.5000 0.0000
Ag 0.5000 0.0000 0.2500
I 0.2500 0.7595 0.7405
I 0.2500 0.9905 0.5095
I 0.5095 0.2500 0.9905
I 0.5095 0.7595 0.5191
I 0.5191 0.5095 0.7595
I 0.7405 0.2500 0.7595
I 0.7405 0.9905 0.9809
I 0.7595 0.5191 0.5095
I 0.7595 0.7405 0.2500
I 0.9809 0.7405 0.9905
I 0.9905 0.5095 0.2500
I 0.9905 0.9809 0.7405

Principal peaks in the range 2θ = 10–80°, by angle:
| 2θ (°) | I/Imax |
| --- | --- |
| 26.02 | 14 |
| 27.85 | 100 |
| 32.78 | 9 |
| 39.80 | 73 |
| 49.27 | 25 |
| 52.48 | 8 |
| 56.56 | 7 |
| 57.55 | 11 |
| 65.12 | 30 |
| 72.25 | 21 |

***

Record 6
Diffraction record for NdV2Fe10. The powder diffractogram is theoretical, not measured: it uses a structure optimized by DFT (PBE) and Cu Kα, 1.54184 Å.
Lines closer than 0.1° are merged.

Crystal structure
a = 6.4781 Å, b = 6.4781 Å, c = 6.4781 Å
α = 137.65°, β = 97.89°, γ = 97.10°
Element x y z (fractional)
Nd 0.0000 0.0000 0.0000
V 0.3596 0.3596 0.0000
V 0.6404 0.6404 0.0000
Fe 0.0000 0.0000 0.5000
Fe 0.0000 0.5000 0.0000
Fe 0.2299 0.5000 0.7299
Fe 0.2320 0.7320 0.5000
Fe 0.3601 0.0000 0.3601
Fe 0.5000 0.0000 0.0000
Fe 0.5000 0.5000 0.5000
Fe 0.6399 0.0000 0.6399
Fe 0.7680 0.2680 0.5000
Fe 0.7701 0.5000 0.2701

Principal peaks in the range 2θ = 10–80°, by angle:
| 2θ (°) | I/Imax |
| --- | --- |
| 30.20 | 62 |
| 36.84 | 28 |
| 37.06 | 28 |
| 42.15 | 51 |
| 42.49 | 44 |
| 42.72 | 65 |
| 42.83 | 74 |
| 44.13 | 100 |
| 49.26 | 40 |
| 72.56 | 27 |